Record 1
# GeRu2S
Calculated X-ray diffraction stick pattern, Cu Kα X-rays. Input: a structure optimized by DFT (PBE).

Cell and atoms:
```
GeRu2S
1.0
0.000 3.030 3.030
3.030 0.000 3.030
3.030 3.030 0.000
Ge Ru S
1 2 1
direct
0.000 0.000 0.000 Ge
0.250 0.250 0.250 Ru
0.750 0.750 0.750 Ru
0.500 0.500 0.500 S
```

The 10 most intense peaks (10° ≤ 2θ ≤ 90°), sorted by position:
- 25.46°, intensity 4
- 29.48°, intensity 13
- 42.17°, intensity 100
- 49.91°, intensity 2
- 52.29°, intensity 4
- 61.17°, intensity 16
- 67.35°, intensity 1
- 69.34°, intensity 4
- 77.09°, intensity 32
- 82.75°, intensity 1

Record 2
# Sc2TlGeRu
Calculated X-ray diffraction stick pattern, Cu Kα X-rays. Input: a structure optimized by DFT (PBE).

Cell and atoms:
```
Sc2TlGeRu
1.0
5.016 0.000 0.000
0.000 5.016 0.000
0.000 0.000 5.034
Sc Tl Ge Ru
2 1 1 1
direct
0.000 0.500 0.000 Sc
0.500 0.000 0.000 Sc
0.000 0.000 0.500 Tl
0.000 0.000 0.000 Ge
0.500 0.500 0.500 Ru
```

The 10 most intense peaks (10° ≤ 2θ ≤ 90°), sorted by position:
- 17.67°, intensity 71
- 25.11°, intensity 69
- 30.84°, intensity 100
- 35.67°, intensity 37
- 35.81°, intensity 73
- 44.12°, intensity 32
- 51.43°, intensity 51
- 51.54°, intensity 25
- 61.27°, intensity 27
- 64.25°, intensity 26

Record 3
# U2SiGe2Ru5
Calculated X-ray diffraction stick pattern, Cu Kα X-rays. Input: a structure optimized by DFT (PBE).

Cell and atoms:
```
U2SiGe2Ru5
1.0
10.270 0.000 0.000
0.000 10.270 0.000
0.000 0.000 3.075
U Si Ge Ru
4 2 4 10
direct
0.174 0.326 0.000 U
0.326 0.826 0.000 U
0.674 0.174 0.000 U
0.826 0.674 0.000 U
0.000 0.000 0.000 Si
0.500 0.500 0.000 Si
0.134 0.634 0.000 Ge
0.366 0.134 0.000 Ge
0.634 0.866 0.000 Ge
0.866 0.366 0.000 Ge
0.000 0.500 0.500 Ru
0.033 0.801 0.500 Ru
0.199 0.033 0.500 Ru
0.301 0.533 0.500 Ru
0.467 0.301 0.500 Ru
0.500 0.000 0.500 Ru
0.533 0.699 0.500 Ru
0.699 0.467 0.500 Ru
0.801 0.967 0.500 Ru
0.967 0.199 0.500 Ru
```

The 10 most intense peaks (10° ≤ 2θ ≤ 90°), sorted by position:
- 19.33°, intensity 28
- 33.98°, intensity 41
- 35.12°, intensity 38
- 36.06°, intensity 72
- 37.14°, intensity 89
- 38.36°, intensity 30
- 40.40°, intensity 100
- 46.05°, intensity 39
- 53.54°, intensity 22
- 72.88°, intensity 25

Record 4
# SmGe12Ru4
Calculated X-ray diffraction stick pattern, Cu Kα X-rays. Input: a structure optimized by DFT (PBE).

Cell and atoms:
```
SmGe12Ru4
1.0
-4.348 4.348 4.348
4.348 -4.348 4.348
4.348 4.348 -4.348
Sm Ge Ru
1 12 4
direct
0.000 0.000 0.000 Sm
0.156 0.343 0.499 Ge
0.156 0.657 0.813 Ge
0.187 0.844 0.343 Ge
0.343 0.187 0.844 Ge
0.343 0.499 0.156 Ge
0.499 0.156 0.343 Ge
0.501 0.844 0.657 Ge
0.657 0.501 0.844 Ge
0.657 0.813 0.156 Ge
0.813 0.156 0.657 Ge
0.844 0.343 0.187 Ge
0.844 0.657 0.501 Ge
0.000 0.000 0.500 Ru
0.000 0.500 0.000 Ru
0.500 0.000 0.000 Ru
0.500 0.500 0.500 Ru
```

The 10 most intense peaks (10° ≤ 2θ ≤ 90°), sorted by position:
- 20.42°, intensity 10
- 29.04°, intensity 31
- 32.56°, intensity 100
- 38.74°, intensity 52
- 46.71°, intensity 30
- 51.48°, intensity 51
- 53.75°, intensity 33
- 62.25°, intensity 9
- 68.20°, intensity 14
- 73.92°, intensity 16

Record 5
# Sm2GeRu
Calculated X-ray diffraction stick pattern, Cu Kα X-rays. Input: a structure optimized by DFT (PBE).

Cell and atoms:
```
Sm2GeRu
1.0
4.771 0.000 0.000
-2.385 4.132 0.000
0.000 0.000 5.030
Sm Ge Ru
2 1 1
direct
0.333 0.667 0.234 Sm
0.667 0.333 0.766 Sm
0.000 0.000 0.500 Ge
0.000 0.000 0.000 Ru
```

The 10 most intense peaks (10° ≤ 2θ ≤ 90°), sorted by position:
- 27.95°, intensity 100
- 37.71°, intensity 77
- 42.06°, intensity 54
- 47.58°, intensity 23
- 57.76°, intensity 21
- 59.50°, intensity 12
- 62.25°, intensity 21
- 68.08°, intensity 13
- 71.06°, intensity 22
- 87.75°, intensity 12

Record 6
# Sm3Ge3Ru
Calculated X-ray diffraction stick pattern, Cu Kα X-rays. Input: a structure optimized by DFT (PBE).

Cell and atoms:
```
Sm3Ge3Ru
1.0
5.514 -2.174 0.000
5.514 2.174 0.000
-5.073 0.000 13.218
Sm Ge Ru
6 6 2
direct
0.023 0.023 0.377 Sm
0.099 0.099 0.920 Sm
0.245 0.245 0.230 Sm
0.755 0.755 0.770 Sm
0.901 0.901 0.080 Sm
0.977 0.977 0.623 Sm
0.360 0.360 0.455 Ge
0.380 0.380 0.926 Ge
0.450 0.450 0.760 Ge
0.550 0.550 0.240 Ge
0.620 0.620 0.074 Ge
0.640 0.640 0.545 Ge
0.255 0.255 0.585 Ru
0.745 0.745 0.415 Ru
```

The 10 most intense peaks (10° ≤ 2θ ≤ 90°), sorted by position:
- 31.99°, intensity 58
- 32.21°, intensity 100
- 32.49°, intensity 36
- 32.64°, intensity 69
- 33.77°, intensity 20
- 36.63°, intensity 41
- 39.52°, intensity 59
- 40.97°, intensity 28
- 41.53°, intensity 59
- 62.75°, intensity 30

Record 7
# SmGe3Ru2
Calculated X-ray diffraction stick pattern, Cu Kα X-rays. Input: a structure optimized by DFT (PBE).

Cell and atoms:
```
SmGe3Ru2
1.0
4.758 -3.885 0.000
4.758 3.885 0.000
0.000 0.000 5.786
Sm Ge Ru
2 6 4
direct
0.148 0.852 0.750 Sm
0.852 0.148 0.250 Sm
0.047 0.622 0.250 Ge
0.378 0.953 0.250 Ge
0.477 0.523 0.250 Ge
0.523 0.477 0.750 Ge
0.622 0.047 0.750 Ge
0.953 0.378 0.750 Ge
0.288 0.288 0.000 Ru
0.288 0.288 0.500 Ru
0.712 0.712 0.000 Ru
0.712 0.712 0.500 Ru
```

The 10 most intense peaks (10° ≤ 2θ ≤ 90°), sorted by position:
- 33.57°, intensity 63
- 34.24°, intensity 100
- 35.94°, intensity 63
- 36.35°, intensity 73
- 38.81°, intensity 52
- 43.39°, intensity 61
- 48.12°, intensity 26
- 57.14°, intensity 28
- 60.35°, intensity 29
- 87.84°, intensity 26

Record 8
# SmGe4Ru
Calculated X-ray diffraction stick pattern, Cu Kα X-rays. Input: a structure optimized by DFT (PBE).

Cell and atoms:
```
SmGe4Ru
1.0
5.634 -3.159 0.000
5.634 3.159 0.000
-0.518 0.000 6.825
Sm Ge Ru
2 8 2
direct
0.098 0.902 0.750 Sm
0.902 0.098 0.250 Sm
0.130 0.365 0.646 Ge
0.317 0.579 0.090 Ge
0.365 0.130 0.146 Ge
0.421 0.683 0.410 Ge
0.579 0.317 0.590 Ge
0.635 0.870 0.854 Ge
0.683 0.421 0.910 Ge
0.870 0.635 0.354 Ge
0.000 0.500 0.000 Ru
0.500 0.000 0.500 Ru
```

The 10 most intense peaks (10° ≤ 2θ ≤ 90°), sorted by position:
- 21.10°, intensity 22
- 29.58°, intensity 27
- 31.35°, intensity 73
- 31.86°, intensity 76
- 34.67°, intensity 100
- 35.61°, intensity 34
- 42.42°, intensity 51
- 50.60°, intensity 26
- 52.05°, intensity 33
- 52.46°, intensity 25